Starting from the GGA-PBE geometry in the Materials Project, the powder X-ray diffraction pattern of Dy3Pd4 was simulated for Cu Kα (weighted mean of Kα1 and Kα2).

Top 8 peaks for 2θ from 10° to 90°, low angle first:
d = 2.783 Å, rel. 50
d = 2.565 Å, rel. 17
d = 2.506 Å, rel. 100
d = 2.392 Å, rel. 85
d = 2.130 Å, rel. 17
d = 1.940 Å, rel. 18
d = 1.730 Å, rel. 17
d = 1.424 Å, rel. 21

Cell and atoms:
a = 7.8913 Å, b = 7.8913 Å, c = 7.8913 Å
α = 114.34°, β = 114.34°, γ = 114.34°
Fractional coordinates of all 14 atoms:
Dy 0.0260 0.2806 0.4031
Dy 0.2806 0.4031 0.0260
Dy 0.4031 0.0260 0.2806
Dy 0.5969 0.9740 0.7194
Dy 0.7194 0.5969 0.9740
Dy 0.9740 0.7194 0.5969
Pd 0.0000 0.0000 0.0000
Pd 0.0603 0.5514 0.2238
Pd 0.2238 0.0603 0.5514
Pd 0.4486 0.7762 0.9397
Pd 0.5000 0.5000 0.5000
Pd 0.5514 0.2238 0.0603
Pd 0.7762 0.9397 0.4486
Pd 0.9397 0.4486 0.7762